Ce4Y2O11: simulated X-ray diffraction stick pattern (λ = 1.5418 Å (Cu Kα)), based on a DFT-relaxed cell (PBE, Alexandria).
Peak positions follow from Bragg's law for the DFT cell and can differ from measured ones.

The 12 most intense peaks (2θ = 10–90°), low angle first:
- d 3.148, 28.35 deg, rel. 100
- d 2.730, 32.81 deg, rel. 19
- d 2.719, 32.95 deg, rel. 9
- d 1.930, 47.08 deg, rel. 19
- d 1.926, 47.18 deg, rel. 35
- d 1.645, 55.88 deg, rel. 29
- d 1.641, 56.06 deg, rel. 14
- d 1.574, 58.66 deg, rel. 8
- d 1.252, 76.00 deg, rel. 6
- d 1.250, 76.15 deg, rel. 11
- d 1.220, 78.36 deg, rel. 7
- d 1.114, 87.62 deg, rel. 11

Cell and atoms:
```
Ce4Y2O11
1.0
3.8603 0.0000 0.0000
0.0000 3.8603 0.0000
0.0000 0.0000 16.3112
Ce Y O
4 2 11
direct
0.0000 0.5000 0.0837
0.0000 0.5000 0.7487
0.5000 0.0000 0.2513
0.5000 0.0000 0.9163
0.0000 0.5000 0.4075
0.5000 0.0000 0.5925
0.0000 0.0000 0.0000
0.0000 0.0000 0.1637
0.0000 0.0000 0.3264
0.0000 0.0000 0.5000
0.0000 0.0000 0.6736
0.0000 0.0000 0.8363
0.5000 0.5000 0.0000
0.5000 0.5000 0.1719
0.5000 0.5000 0.3471
0.5000 0.5000 0.6529
0.5000 0.5000 0.8281
```

Ce6YO12: simulated X-ray diffraction stick pattern (λ = 1.5418 Å (Cu Kα)), based on a DFT-relaxed cell (PBE, Alexandria).
Peak positions follow from Bragg's law for the DFT cell and can differ from measured ones.

The 12 most intense peaks (2θ = 10–90°), low angle first:
- d 5.153, 17.21 deg, rel. 6
- d 3.183, 28.04 deg, rel. 100
- d 2.756, 32.49 deg, rel. 31
- d 1.949, 46.60 deg, rel. 47
- d 1.662, 55.27 deg, rel. 40
- d 1.591, 57.99 deg, rel. 7
- d 1.378, 68.03 deg, rel. 6
- d 1.265, 75.07 deg, rel. 7
- d 1.264, 75.18 deg, rel. 7
- d 1.233, 77.38 deg, rel. 5
- d 1.232, 77.48 deg, rel. 4
- d 1.125, 86.53 deg, rel. 8

Cell and atoms:
```
Ce6YO12
1.0
5.1527 2.9749 3.1870
-5.1527 2.9749 3.1870
0.0000 -5.9498 3.1870
Ce Y O
6 1 12
direct
0.1010 0.6360 0.7964
0.2036 0.8990 0.3640
0.3640 0.2036 0.8990
0.6360 0.7964 0.1010
0.7964 0.1010 0.6360
0.8990 0.3640 0.2036
0.5000 0.5000 0.5000
0.0676 0.3226 0.9173
0.0827 0.9324 0.6774
0.1791 0.5695 0.4289
0.3226 0.9173 0.0676
0.4289 0.1791 0.5695
0.4305 0.5711 0.8209
0.5695 0.4289 0.1791
0.5711 0.8209 0.4305
0.6774 0.0827 0.9324
0.8209 0.4305 0.5711
0.9173 0.0676 0.3226
0.9324 0.6774 0.0827
```

Ce2Y2O7: simulated X-ray diffraction stick pattern (λ = 1.5418 Å (Cu Kα)), based on a DFT-relaxed cell (PBE, Alexandria).
Peak positions follow from Bragg's law for the DFT cell and can differ from measured ones.

The 12 most intense peaks (2θ = 10–90°), low angle first:
- d 3.172, 28.14 deg, rel. 100
- d 3.094, 28.85 deg, rel. 94
- d 2.726, 32.86 deg, rel. 17
- d 2.706, 33.10 deg, rel. 37
- d 1.950, 46.58 deg, rel. 18
- d 1.920, 47.33 deg, rel. 68
- d 1.879, 48.44 deg, rel. 17
- d 1.649, 55.75 deg, rel. 42
- d 1.636, 56.22 deg, rel. 13
- d 1.617, 56.96 deg, rel. 27
- d 1.253, 75.92 deg, rel. 10
- d 1.093, 89.74 deg, rel. 11

Cell and atoms:
```
Ce2Y2O7
1.0
7.7988 0.0000 0.0000
0.0000 3.7585 0.0000
0.0000 0.0000 10.9039
Ce Y O
4 4 14
direct
0.0000 0.0000 0.0000
0.2500 0.5000 0.2546
0.5000 0.0000 0.0000
0.7500 0.5000 0.7454
0.0000 0.0000 0.5000
0.2500 0.5000 0.7693
0.5000 0.0000 0.5000
0.7500 0.5000 0.2307
0.0112 0.5000 0.1223
0.0433 0.5000 0.6257
0.2500 0.0000 0.1349
0.2500 0.0000 0.3922
0.2500 0.0000 0.8736
0.4567 0.5000 0.6257
0.4888 0.5000 0.1223
0.5112 0.5000 0.8777
0.5433 0.5000 0.3743
0.7500 0.0000 0.1264
0.7500 0.0000 0.6078
0.7500 0.0000 0.8651
0.9567 0.5000 0.3743
0.9888 0.5000 0.8777
```

Ce2Y2O7: simulated X-ray diffraction stick pattern (λ = 1.5418 Å (Cu Kα)), based on a DFT-relaxed cell (PBE, Alexandria).
Peak positions follow from Bragg's law for the DFT cell and can differ from measured ones.

The 12 most intense peaks (2θ = 10–90°), low angle first:
- d 3.632, 24.51 deg, rel. 2
- d 3.144, 28.39 deg, rel. 100
- d 2.723, 32.90 deg, rel. 28
- d 2.641, 33.94 deg, rel. 5
- d 1.925, 47.21 deg, rel. 54
- d 1.642, 56.01 deg, rel. 42
- d 1.572, 58.74 deg, rel. 8
- d 1.362, 68.94 deg, rel. 6
- d 1.249, 76.21 deg, rel. 16
- d 1.218, 78.52 deg, rel. 7
- d 1.217, 78.64 deg, rel. 3
- d 1.112, 87.82 deg, rel. 15

Cell and atoms:
```
Ce2Y2O7
1.0
3.8528 0.0000 0.0000
0.0000 3.8528 0.0000
0.0000 0.0000 10.8778
Ce Y O
2 2 7
direct
0.0000 0.5000 0.1259
0.5000 0.0000 0.8741
0.0000 0.5000 0.6401
0.5000 0.0000 0.3599
0.0000 0.0000 0.0000
0.0000 0.0000 0.2670
0.0000 0.0000 0.7330
0.5000 0.5000 0.0000
0.5000 0.5000 0.2405
0.5000 0.5000 0.5000
0.5000 0.5000 0.7595
```

CeY3O: simulated X-ray diffraction stick pattern (λ = 1.5418 Å (Cu Kα)), based on a DFT-relaxed cell (PBE, Alexandria).
Peak positions follow from Bragg's law for the DFT cell and can differ from measured ones.

The 12 most intense peaks (2θ = 10–90°), low angle first:
- d 4.957, 17.90 deg, rel. 1
- d 3.505, 25.41 deg, rel. 7
- d 2.862, 31.26 deg, rel. 100
- d 2.478, 36.25 deg, rel. 59
- d 2.024, 44.79 deg, rel. 3
- d 1.752, 52.20 deg, rel. 40
- d 1.494, 62.11 deg, rel. 41
- d 1.431, 65.20 deg, rel. 13
- d 1.325, 71.17 deg, rel. 1
- d 1.239, 76.94 deg, rel. 6
- d 1.137, 85.37 deg, rel. 17
- d 1.108, 88.14 deg, rel. 18

Cell and atoms:
```
CeY3O
1.0
4.9567 0.0000 0.0000
0.0000 4.9567 0.0000
0.0000 0.0000 4.9567
Ce Y O
1 3 1
direct
0.0000 0.0000 0.0000
0.0000 0.5000 0.5000
0.5000 0.0000 0.5000
0.5000 0.5000 0.0000
0.5000 0.5000 0.5000
```

Ce3ZrO8: simulated X-ray diffraction stick pattern (λ = 1.5418 Å (Cu Kα)), based on a DFT-relaxed cell (PBE, Alexandria).
Peak positions follow from Bragg's law for the DFT cell and can differ from measured ones.

The 12 most intense peaks (2θ = 10–90°), low angle first:
- d 3.151, 28.33 deg, rel. 100
- d 3.108, 28.72 deg, rel. 95
- d 2.720, 32.93 deg, rel. 37
- d 2.691, 33.30 deg, rel. 17
- d 1.932, 47.04 deg, rel. 18
- d 1.923, 47.26 deg, rel. 34
- d 1.914, 47.51 deg, rel. 35
- d 1.893, 48.06 deg, rel. 16
- d 1.647, 55.83 deg, rel. 15
- d 1.642, 55.99 deg, rel. 14
- d 1.636, 56.24 deg, rel. 28
- d 1.628, 56.51 deg, rel. 13

Cell and atoms:
```
Ce3ZrO8
1.0
5.3830 -5.4439 0.0000
5.3830 5.4439 0.0000
-0.1100 0.0000 5.4351
Ce Zr O
6 2 16
direct
0.1251 0.8749 0.7500
0.1335 0.3778 0.7613
0.3778 0.1335 0.2613
0.6222 0.8665 0.7387
0.8665 0.6222 0.2387
0.8749 0.1251 0.2500
0.3623 0.6377 0.2500
0.6377 0.3623 0.7500
0.1175 0.6347 0.9893
0.1190 0.1360 0.4978
0.1360 0.1190 0.9978
0.1430 0.6136 0.4794
0.3616 0.3957 0.0642
0.3653 0.8825 0.5107
0.3864 0.8570 0.0206
0.3957 0.3616 0.5642
0.6043 0.6384 0.4358
0.6136 0.1430 0.9794
0.6347 0.1175 0.4893
0.6384 0.6043 0.9358
0.8570 0.3864 0.5206
0.8640 0.8810 0.0022
0.8810 0.8640 0.5022
0.8825 0.3653 0.0107
```

Ce7ZrO16: simulated X-ray diffraction stick pattern (λ = 1.5418 Å (Cu Kα)), based on a DFT-relaxed cell (PBE, Alexandria).
Peak positions follow from Bragg's law for the DFT cell and can differ from measured ones.

The 10 most intense peaks (2θ = 10–90°), low angle first:
- d 4.428, 20.05 deg, rel. 1
- d 3.132, 28.50 deg, rel. 100
- d 2.712, 33.03 deg, rel. 28
- d 1.918, 47.41 deg, rel. 55
- d 1.635, 56.25 deg, rel. 44
- d 1.566, 58.99 deg, rel. 8
- d 1.356, 69.29 deg, rel. 8
- d 1.244, 76.56 deg, rel. 18
- d 1.213, 78.93 deg, rel. 11
- d 1.107, 88.26 deg, rel. 17

Cell and atoms:
```
Ce7ZrO16
1.0
7.6725 0.0000 0.0000
0.0000 7.6725 0.0000
0.0000 0.0000 5.4215
Ce Zr O
7 1 16
direct
0.0000 0.0000 0.0000
0.0000 0.5000 0.0000
0.2530 0.2530 0.5000
0.2530 0.7470 0.5000
0.5000 0.0000 0.0000
0.7470 0.2530 0.5000
0.7470 0.7470 0.5000
0.5000 0.5000 0.0000
0.0000 0.2523 0.2506
0.0000 0.2523 0.7494
0.0000 0.7477 0.2506
0.0000 0.7477 0.7494
0.2523 0.0000 0.2506
0.2523 0.0000 0.7494
0.2584 0.5000 0.2430
0.2584 0.5000 0.7570
0.5000 0.2584 0.2430
0.5000 0.2584 0.7570
0.5000 0.7416 0.2430
0.5000 0.7416 0.7570
0.7416 0.5000 0.2430
0.7416 0.5000 0.7570
0.7477 0.0000 0.2506
0.7477 0.0000 0.7494
```

CeZr3O8: simulated X-ray diffraction stick pattern (λ = 1.5418 Å (Cu Kα)), based on a DFT-relaxed cell (PBE, Alexandria).
Peak positions follow from Bragg's law for the DFT cell and can differ from measured ones.

The 12 most intense peaks (2θ = 10–90°), low angle first:
- d 3.042, 29.36 deg, rel. 100
- d 2.674, 33.52 deg, rel. 9
- d 2.615, 34.29 deg, rel. 15
- d 1.869, 48.71 deg, rel. 36
- d 1.853, 49.16 deg, rel. 10
- d 1.845, 49.40 deg, rel. 9
- d 1.606, 57.39 deg, rel. 15
- d 1.582, 58.33 deg, rel. 14
- d 1.578, 58.49 deg, rel. 14
- d 1.308, 72.26 deg, rel. 5
- d 1.213, 78.90 deg, rel. 6
- d 1.211, 79.04 deg, rel. 6

Cell and atoms:
```
CeZr3O8
1.0
3.7067 0.0000 0.0000
0.0000 3.6897 5.3471
0.0000 -3.6897 5.3471
Ce Zr O
1 3 8
direct
0.0000 0.0000 0.0000
0.0000 0.4951 0.4951
0.5000 0.5030 0.9930
0.5000 0.9930 0.5030
0.0000 0.1057 0.5871
0.0000 0.3636 0.8425
0.0000 0.5871 0.1057
0.0000 0.8425 0.3636
0.5000 0.1511 0.1511
0.5000 0.4019 0.4019
0.5000 0.6480 0.6480
0.5000 0.8850 0.8850
```

CeZr6O14: simulated X-ray diffraction stick pattern (λ = 1.5418 Å (Cu Kα)), based on a DFT-relaxed cell (PBE, Alexandria).
Peak positions follow from Bragg's law for the DFT cell and can differ from measured ones.

The 12 most intense peaks (2θ = 10–90°), low angle first:
- d 3.026, 29.51 deg, rel. 100
- d 2.663, 33.65 deg, rel. 9
- d 2.601, 34.49 deg, rel. 14
- d 1.861, 48.95 deg, rel. 36
- d 1.839, 49.57 deg, rel. 19
- d 1.599, 57.65 deg, rel. 14
- d 1.572, 58.75 deg, rel. 27
- d 1.513, 61.25 deg, rel. 7
- d 1.300, 72.72 deg, rel. 5
- d 1.207, 79.42 deg, rel. 11
- d 1.185, 81.15 deg, rel. 5
- d 1.168, 82.56 deg, rel. 3

Cell and atoms:
```
CeZr6O14
1.0
3.6800 0.0000 0.0000
0.0000 25.7292 0.0000
0.0000 0.0000 5.3265
Ce Zr O
2 12 28
direct
0.0000 0.1444 0.0000
0.0000 0.8556 0.0000
0.0000 0.0000 0.0082
0.0000 0.2890 0.0087
0.0000 0.4297 0.0102
0.0000 0.5703 0.0102
0.0000 0.7110 0.0087
0.5000 0.0715 0.5029
0.5000 0.2171 0.5026
0.5000 0.3589 0.5124
0.5000 0.5000 0.5133
0.5000 0.6411 0.5124
0.5000 0.7829 0.5026
0.5000 0.9285 0.5029
0.0000 0.0695 0.2144
0.0000 0.0692 0.7026
0.0000 0.2194 0.2143
0.0000 0.2195 0.7022
0.0000 0.3593 0.2040
0.0000 0.3591 0.7033
0.0000 0.5000 0.2054
0.0000 0.5000 0.7043
0.0000 0.6407 0.2040
0.0000 0.6409 0.7033
0.0000 0.7805 0.7022
0.0000 0.7806 0.2143
0.0000 0.9305 0.2144
0.0000 0.9308 0.7026
0.5000 0.0000 0.3170
0.5000 0.0000 0.8184
0.5000 0.1444 0.2958
0.5000 0.1443 0.7683
0.5000 0.2888 0.3169
0.5000 0.2885 0.8182
0.5000 0.4296 0.3189
0.5000 0.4296 0.8198
0.5000 0.5704 0.3189
0.5000 0.5704 0.8198
0.5000 0.7112 0.3169
0.5000 0.7115 0.8182
0.5000 0.8556 0.2958
0.5000 0.8557 0.7683
```

CeZrO4: simulated X-ray diffraction stick pattern (λ = 1.5418 Å (Cu Kα)), based on a DFT-relaxed cell (PBE, Alexandria).
Peak positions follow from Bragg's law for the DFT cell and can differ from measured ones.

The 12 most intense peaks (2θ = 10–90°), low angle first:
- d 3.093, 28.86 deg, rel. 100
- d 2.693, 33.27 deg, rel. 19
- d 2.651, 33.81 deg, rel. 8
- d 1.904, 47.76 deg, rel. 18
- d 1.889, 48.17 deg, rel. 36
- d 1.622, 56.77 deg, rel. 29
- d 1.603, 57.49 deg, rel. 14
- d 1.547, 59.79 deg, rel. 8
- d 1.347, 69.85 deg, rel. 5
- d 1.235, 77.27 deg, rel. 6
- d 1.226, 77.89 deg, rel. 11
- d 1.097, 89.34 deg, rel. 10

Cell and atoms:
```
CeZrO4
1.0
5.3017 0.0000 0.0000
0.0000 5.3865 0.0000
-0.0055 0.0000 5.3865
Ce Zr O
2 2 8
direct
0.0000 0.2502 0.2500
0.0000 0.7498 0.7500
0.5000 0.2494 0.7500
0.5000 0.7506 0.2500
0.2555 0.0361 0.9642
0.2553 0.4637 0.5366
0.2553 0.5363 0.0366
0.2555 0.9639 0.4642
0.7445 0.0361 0.5358
0.7447 0.4637 0.9634
0.7447 0.5363 0.4634
0.7445 0.9639 0.0358
```

Ce5Zr2O12: simulated X-ray diffraction stick pattern (λ = 1.5418 Å (Cu Kα)), based on a DFT-relaxed cell (PBE, Alexandria).
Peak positions follow from Bragg's law for the DFT cell and can differ from measured ones.

The 12 most intense peaks (2θ = 10–90°), low angle first:
- d 3.437, 25.92 deg, rel. 100
- d 3.235, 27.57 deg, rel. 100
- d 3.118, 28.63 deg, rel. 19
- d 3.088, 28.91 deg, rel. 19
- d 2.865, 31.22 deg, rel. 41
- d 2.789, 32.10 deg, rel. 44
- d 2.781, 32.19 deg, rel. 25
- d 2.362, 38.10 deg, rel. 20
- d 2.078, 43.56 deg, rel. 29
- d 1.892, 48.08 deg, rel. 22
- d 1.822, 50.07 deg, rel. 29
- d 1.360, 69.04 deg, rel. 17

Cell and atoms:
```
Ce5Zr2O12
1.0
6.4532 -3.1181 0.0000
6.4532 3.1181 0.0000
-2.1913 0.0000 7.2452
Ce Zr O
5 2 12
direct
0.0000 0.0000 0.0000
0.3019 0.3019 0.1393
0.3029 0.3029 0.6639
0.6971 0.6971 0.3361
0.6981 0.6981 0.8607
0.2446 0.7554 0.5000
0.7554 0.2446 0.5000
0.0031 0.0031 0.3122
0.0917 0.5988 0.9282
0.1012 0.5593 0.4092
0.4012 0.9083 0.0718
0.4407 0.8988 0.5908
0.4968 0.4968 0.6889
0.5032 0.5032 0.3111
0.5593 0.1012 0.4092
0.5988 0.0917 0.9282
0.8988 0.4407 0.5908
0.9083 0.4012 0.0718
0.9969 0.9969 0.6878
```